Starting from DFT lattice parameters and positions (GGA-PBE), the X-ray diffraction stick pattern of KSr2Nb5O15 was calculated for Cu Kα.
Neutral-atom scattering factors, no anomalous dispersion.

Structural model:
```
data_KSr2Nb5O15
_cell_length_a 17.874
_cell_length_b 17.950
_cell_length_c 4.089
_cell_angle_alpha 90.00
_cell_angle_beta 90.00
_cell_angle_gamma 90.00
_symmetry_space_group_name_H-M 'C m m 2'
_symmetry_Int_Tables_number 35
loop_
_symmetry_equiv_pos_as_xyz
'x,y,z'
'-x,-y,z'
'-x,y,z'
'x,-y,z'
'x+1/2,y+1/2,z'
'-x+1/2,-y+1/2,z'
'-x+1/2,y+1/2,z'
'x+1/2,-y+1/2,z'
loop_
_atom_site_label
_atom_site_fract_x
_atom_site_fract_y
_atom_site_fract_z
K1 0.000 0.169 0.000
Sr1 0.167 0.500 0.038
Sr2 0.250 0.250 0.002
Nb1 0.000 0.000 0.518
Nb2 0.000 0.500 0.517
Nb3 0.106 0.316 0.507
Nb4 0.183 0.105 0.507
O1 0.000 0.000 0.966
O2 0.000 0.286 0.463
O3 0.000 0.500 0.970
O4 0.079 0.078 0.460
O5 0.083 0.426 0.458
O6 0.112 0.314 0.963
O7 0.149 0.214 0.462
O8 0.192 0.108 0.964
O9 0.214 0.351 0.450
O10 0.227 0.000 0.467
```

Principal peaks in the range 2θ = 10–80°, most intense first:
2θ/deg, d (Å), intensity
31.26, 2.861, 100
29.07, 3.072, 68
26.89, 3.315, 56
21.73, 4.089, 39
44.31, 2.044, 37
25.30, 3.520, 30
29.58, 3.020, 25
31.65, 2.827, 24
33.64, 2.664, 24
53.87, 1.702, 23
56.11, 1.639, 22
25.41, 3.506, 19

***

Starting from DFT lattice parameters and positions (GGA-PBE), the X-ray diffraction stick pattern of K2TaNbO6 was calculated for Cu Kα.
Neutral-atom scattering factors, no anomalous dispersion.

Structural model:
```
data_K2TaNbO6
_cell_length_a 5.698
_cell_length_b 5.698
_cell_length_c 4.123
_cell_angle_alpha 90.00
_cell_angle_beta 90.00
_cell_angle_gamma 90.00
_symmetry_space_group_name_H-M 'P 4 m m'
_symmetry_Int_Tables_number 99
loop_
_symmetry_equiv_pos_as_xyz
'x,y,z'
'-y,x,z'
'-x,-y,z'
'y,-x,z'
'-x,y,z'
'y,x,z'
'x,-y,z'
'-y,-x,z'
loop_
_atom_site_label
_atom_site_fract_x
_atom_site_fract_y
_atom_site_fract_z
K1 0.000 0.500 0.000
Ta1 0.000 0.000 0.489
Nb1 0.500 0.500 0.483
O1 0.000 0.000 0.027
O2 0.249 0.249 0.522
O3 0.500 0.500 0.027
```

Principal peaks in the range 2θ = 10–80°, most intense first:
2θ/deg, d (Å), intensity
31.04, 2.882, 100
22.06, 4.029, 58
31.40, 2.849, 48
55.67, 1.651, 38
45.00, 2.015, 34
21.55, 4.123, 30
64.70, 1.441, 20
54.98, 1.670, 20
43.92, 2.061, 18
15.55, 5.698, 16
49.68, 1.835, 13
50.42, 1.810, 13

***

Starting from DFT lattice parameters and positions (GGA-PBE), the X-ray diffraction stick pattern of K2NbTe3O12 was calculated for Cu Kα.
Neutral-atom scattering factors, no anomalous dispersion.

Structural model:
```
data_K2NbTe3O12
_cell_length_a 7.3643
_cell_length_b 7.3643
_cell_length_c 18.1112
_cell_angle_alpha 90.00
_cell_angle_beta 90.00
_cell_angle_gamma 120.00
_symmetry_space_group_name_H-M 'R -3 m'
_symmetry_Int_Tables_number 166
_symmetry_space_group_name_Hall '-R 3 2"'
loop_
_atom_site_label
_atom_site_fract_x
_atom_site_fract_y
_atom_site_fract_z
K1 0.0000 0.0000 0.1258
Nb1 0.0000 0.0000 0.5000
Te1 0.0000 0.5000 0.0000
O1 0.0695 0.5347 0.3570
O2 0.0720 0.5360 0.1049
```

Principal peaks in the range 2θ = 10–80°, most intense first:
2θ/deg, d (Å), intensity
28.39, 3.144, 100
14.71, 6.023, 91
29.70, 3.008, 53
49.51, 1.841, 23
49.37, 1.846, 23
58.76, 1.571, 22
45.21, 2.006, 21
29.59, 3.019, 18
58.05, 1.589, 11
69.27, 1.356, 10
45.09, 2.011, 10
51.93, 1.761, 9

***

Starting from DFT lattice parameters and positions (GGA-PBE), the X-ray diffraction stick pattern of KTiNbO5 was calculated for Cu Kα.
Neutral-atom scattering factors, no anomalous dispersion.

Structural model:
```
data_KTiNbO5
_cell_length_a 6.522
_cell_length_b 3.829
_cell_length_c 18.827
_cell_angle_alpha 90.00
_cell_angle_beta 90.00
_cell_angle_gamma 90.00
_symmetry_space_group_name_H-M 'P n m a'
_symmetry_Int_Tables_number 62
loop_
_symmetry_equiv_pos_as_xyz
'x,y,z'
'-x,-y,-z'
'-x+1/2,-y,z+1/2'
'x+1/2,y,-z+1/2'
'x+1/2,-y+1/2,-z+1/2'
'-x+1/2,y+1/2,z+1/2'
'-x,y+1/2,-z'
'x,-y+1/2,z'
loop_
_atom_site_label
_atom_site_fract_x
_atom_site_fract_y
_atom_site_fract_z
K1 0.226 0.250 0.193
Ti1 0.178 0.250 0.534
Nb1 0.224 0.250 0.891
O1 0.031 0.250 0.620
O2 0.071 0.750 0.074
O3 0.143 0.750 0.511
O4 0.157 0.250 0.797
O5 0.234 0.750 0.922
```

Principal peaks in the range 2θ = 10–80°, most intense first:
2θ/deg, d (Å), intensity
27.31, 3.265, 100
30.59, 2.922, 63
31.64, 2.828, 44
16.54, 5.361, 38
47.49, 1.914, 24
51.73, 1.767, 17
23.72, 3.752, 17
40.76, 2.214, 16
58.20, 1.585, 14
39.02, 2.309, 13
18.85, 4.707, 13
48.36, 1.882, 13

***

Starting from DFT lattice parameters and positions (GGA-PBE), the X-ray diffraction stick pattern of KTi3NbO9 was calculated for Cu Kα.
Neutral-atom scattering factors, no anomalous dispersion.

Structural model:
```
data_KTi3NbO9
_cell_length_a 3.828
_cell_length_b 6.465
_cell_length_c 15.131
_cell_angle_alpha 90.00
_cell_angle_beta 90.00
_cell_angle_gamma 90.00
_symmetry_space_group_name_H-M 'P m n 21'
_symmetry_Int_Tables_number 31
loop_
_symmetry_equiv_pos_as_xyz
'x,y,z'
'-x+1/2,-y,z+1/2'
'-x,y,z'
'x+1/2,-y,z+1/2'
loop_
_atom_site_label
_atom_site_fract_x
_atom_site_fract_y
_atom_site_fract_z
K1 0.000 0.243 0.000
Ti1 0.000 0.232 0.375
Ti2 0.000 0.684 0.300
Ti3 0.000 0.693 0.716
Nb1 0.000 0.240 0.622
O1 0.000 0.172 0.501
O2 0.000 0.344 0.244
O3 0.000 0.352 0.765
O4 0.000 0.528 0.401
O5 0.000 0.541 0.608
O6 0.000 0.758 0.157
O7 0.000 0.764 0.848
O8 0.000 0.935 0.348
O9 0.000 0.941 0.663
```

Principal peaks in the range 2θ = 10–80°, most intense first:
2θ/deg, d (Å), intensity
29.29, 3.049, 100
27.60, 3.232, 95
32.67, 2.741, 93
29.58, 3.020, 90
11.70, 7.566, 78
23.98, 3.711, 78
47.51, 1.914, 59
14.90, 5.945, 55
56.07, 1.640, 47
22.36, 3.977, 39
58.85, 1.569, 31
40.68, 2.218, 27

***

Starting from DFT lattice parameters and positions (GGA-PBE), the X-ray diffraction stick pattern of K3TiNb2O8 was calculated for Cu Kα.
Neutral-atom scattering factors, no anomalous dispersion.

Structural model:
```
data_K3TiNb2O8
_cell_length_a 5.9208
_cell_length_b 5.9208
_cell_length_c 7.6098
_cell_angle_alpha 90.00
_cell_angle_beta 90.00
_cell_angle_gamma 120.00
_symmetry_space_group_name_H-M 'P -3 m 1'
_symmetry_Int_Tables_number 164
_symmetry_space_group_name_Hall '-P 3 2"'
loop_
_atom_site_label
_atom_site_fract_x
_atom_site_fract_y
_atom_site_fract_z
K1 0.0000 0.0000 0.0000
K2 0.3333 0.6667 0.6723
Ti1 0.0000 0.0000 0.5000
Nb1 0.3333 0.6667 0.2456
O1 0.1613 0.3226 0.3411
O2 0.3333 0.6667 0.0061
```

Principal peaks in the range 2θ = 10–80°, most intense first:
2θ/deg, d (Å), intensity
30.19, 2.960, 100
20.89, 4.252, 64
29.23, 3.056, 58
42.52, 2.126, 37
53.03, 1.727, 21
57.59, 1.600, 20
62.77, 1.480, 18
53.62, 1.709, 18
39.64, 2.274, 17
48.47, 1.878, 14
50.62, 1.803, 13
23.38, 3.805, 12

***

Starting from DFT lattice parameters and positions (GGA-PBE), the X-ray diffraction stick pattern of KNbTl2O6 was calculated for Cu Kα.
Neutral-atom scattering factors, no anomalous dispersion.

Structural model:
```
data_KNbTl2O6
_cell_length_a 10.258
_cell_length_b 12.601
_cell_length_c 6.862
_cell_angle_alpha 90.00
_cell_angle_beta 115.77
_cell_angle_gamma 90.00
_symmetry_space_group_name_H-M 'C 1 2/c 1'
_symmetry_Int_Tables_number 15
loop_
_symmetry_equiv_pos_as_xyz
'x,y,z'
'-x,-y,-z'
'-x,y,-z+1/2'
'x,-y,z+1/2'
'x+1/2,y+1/2,z'
'-x+1/2,-y+1/2,-z'
'-x+1/2,y+1/2,-z+1/2'
'x+1/2,-y+1/2,z+1/2'
loop_
_atom_site_label
_atom_site_fract_x
_atom_site_fract_y
_atom_site_fract_z
K1 0.000 0.108 0.250
Nb1 0.000 0.186 0.750
Tl1 0.132 0.422 0.163
O1 0.094 0.261 0.009
O2 0.119 0.433 0.475
O3 0.127 0.092 0.702
```

Principal peaks in the range 2θ = 10–80°, most intense first:
2θ/deg, d (Å), intensity
20.13, 4.412, 100
11.88, 7.451, 76
29.60, 3.018, 47
27.08, 3.292, 45
29.87, 2.991, 38
33.90, 2.644, 35
31.65, 2.827, 30
41.64, 2.169, 25
14.06, 6.301, 25
49.23, 1.851, 22
56.39, 1.632, 21
59.48, 1.554, 20

***

Starting from DFT lattice parameters and positions (GGA-PBE), the X-ray diffraction stick pattern of K3Tm3NbO8 was calculated for Cu Kα.
Neutral-atom scattering factors, no anomalous dispersion.

Structural model:
```
data_K3Tm3NbO8
_cell_length_a 6.7336
_cell_length_b 6.7336
_cell_length_c 18.7971
_cell_angle_alpha 90.00
_cell_angle_beta 90.00
_cell_angle_gamma 120.00
_symmetry_space_group_name_H-M 'R -3 m'
_symmetry_Int_Tables_number 166
_symmetry_space_group_name_Hall '-R 3 2"'
loop_
_atom_site_label
_atom_site_fract_x
_atom_site_fract_y
_atom_site_fract_z
K1 0.0000 0.5000 0.0000
Tm1 0.0000 0.5000 0.5000
Nb1 0.0000 0.0000 0.5000
O1 0.0000 0.0000 0.2273
O2 0.0178 0.5089 0.2232
```

Principal peaks in the range 2θ = 10–80°, most intense first:
2θ/deg, d (Å), intensity
14.13, 6.266, 100
36.26, 2.478, 71
32.14, 2.785, 51
31.04, 2.881, 33
28.49, 3.133, 27
49.84, 1.830, 23
54.51, 1.683, 22
45.95, 1.975, 19
62.65, 1.483, 18
56.61, 1.626, 17
58.41, 1.580, 13
39.10, 2.304, 13